No. 1
Starting from a structure optimized by DFT (PBE), the powder diffraction line list of LaTmCd17 was computed for Cu Ka.
No peak broadening, texture or thermal motion is included.

The 10 most intense peaks (2θ = 10–90°), by angle:
two_theta, I/Imax
30.69, 25
31.40, 16
35.63, 100
35.84, 19
36.25, 26
40.01, 25
40.18, 7
63.91, 9
64.30, 21
69.77, 7

Structure:
```
data_LaTmCd17
_chemical_formula_sum 'La3 Tm3 Cd51'
_space_group_name_H-M_alt 'R 3 m'
_space_group_IT_number 160
_space_group_name_Hall 'R 3 -2"'
_cell_length_a 10.0914
_cell_length_b 10.0914
_cell_length_c 15.0350
_cell_angle_alpha 90.00
_cell_angle_beta 90.00
_cell_angle_gamma 120.00
loop_
_atom_site_label
_atom_site_fract_x
_atom_site_fract_y
_atom_site_fract_z
La1 0.0000 0.0000 0.0000
Tm1 0.0000 0.0000 0.6579
Cd1 0.0000 0.0000 0.2421
Cd2 0.0000 0.0000 0.4390
Cd3 0.0037 0.3027 0.3327
Cd4 0.0199 0.5100 0.1901
Cd5 0.0318 0.5159 0.8261
Cd6 0.0571 0.5286 0.4824
```

---

No. 2
Starting from a structure optimized by DFT (PBE), the powder diffraction line list of LaTmCd4 was computed for Cu Ka.
No peak broadening, texture or thermal motion is included.

The 10 most intense peaks (2θ = 10–90°), by angle:
two_theta, I/Imax
33.06, 100
35.51, 84
49.30, 32
53.11, 9
62.17, 21
62.29, 10
63.81, 10
65.52, 27
87.62, 8
87.79, 6

Structure:
```
data_LaTmCd4
_chemical_formula_sum 'La1 Tm1 Cd4'
_space_group_name_H-M_alt 'P m m m'
_space_group_IT_number 47
_cell_length_a 3.4488
_cell_length_b 5.0490
_cell_length_c 8.7710
_cell_angle_alpha 90.00
_cell_angle_beta 90.00
_cell_angle_gamma 90.00
loop_
_space_group_symop_operation_xyz
'x,y,z'
'-x,-y,-z'
'-x,-y,z'
'x,y,-z'
'x,-y,-z'
'-x,y,z'
'-x,y,-z'
'x,-y,z'
loop_
_atom_site_label
_atom_site_fract_x
_atom_site_fract_y
_atom_site_fract_z
La1 0.0000 0.0000 0.0000
Tm1 0.0000 0.5000 0.5000
Cd1 0.5000 0.0000 0.3400
Cd2 0.5000 0.5000 0.1755
```

---

No. 3
Starting from a structure optimized by DFT (PBE), the powder diffraction line list of LaZn4Cd4 was computed for Cu Ka.
No peak broadening, texture or thermal motion is included.

The 10 most intense peaks (2θ = 10–90°), by angle:
two_theta, I/Imax
28.91, 55
31.06, 45
35.12, 55
37.98, 41
40.48, 100
49.85, 23
51.16, 18
65.43, 26
68.96, 16
70.30, 18

Structure:
```
data_LaZn4Cd4
_chemical_formula_sum 'La2 Zn8 Cd8'
_space_group_name_H-M_alt 'I 4/m'
_space_group_IT_number 87
_space_group_name_Hall '-I 4'
_cell_length_a 9.1038
_cell_length_b 9.1038
_cell_length_c 4.7382
_cell_angle_alpha 90.00
_cell_angle_beta 90.00
_cell_angle_gamma 90.00
loop_
_atom_site_label
_atom_site_fract_x
_atom_site_fract_y
_atom_site_fract_z
La1 0.0000 0.0000 0.0000
Zn1 0.1115 0.2040 0.5000
Cd1 0.0952 0.3657 0.0000
```

---

No. 4
Starting from a structure optimized by DFT (PBE), the powder diffraction line list of La3Zn2Cd3 was computed for Cu Ka.
No peak broadening, texture or thermal motion is included.

The 10 most intense peaks (2θ = 10–90°), by angle:
two_theta, I/Imax
30.11, 100
30.84, 58
32.00, 32
33.57, 24
34.76, 33
36.25, 19
37.37, 51
37.90, 46
50.00, 18
61.58, 21

Structure:
```
data_La3Zn2Cd3
_chemical_formula_sum 'La12 Zn8 Cd12'
_space_group_name_H-M_alt 'C m c m'
_space_group_IT_number 63
_space_group_name_Hall '-C 2c 2'
_cell_length_a 4.8130
_cell_length_b 11.1890
_cell_length_c 16.0179
_cell_angle_alpha 90.00
_cell_angle_beta 90.00
_cell_angle_gamma 90.00
loop_
_atom_site_label
_atom_site_fract_x
_atom_site_fract_y
_atom_site_fract_z
La1 0.0000 0.0995 0.1050
La2 0.0000 0.3808 0.2500
Zn1 0.0000 0.1997 0.6002
Cd1 0.0000 0.3280 0.7500
Cd2 0.0000 0.3833 0.0402
```

---

No. 5
Starting from a structure optimized by DFT (PBE), the powder diffraction line list of LaZn5Cd7 was computed for Cu Ka.
No peak broadening, texture or thermal motion is included.

The 10 most intense peaks (2θ = 10–90°), by angle:
two_theta, I/Imax
31.55, 40
31.97, 30
32.18, 44
36.80, 71
37.22, 100
37.31, 71
37.58, 29
41.47, 66
59.99, 32
67.21, 20

Structure:
```
data_LaZn5Cd7
_chemical_formula_sum 'La2 Zn10 Cd14'
_space_group_name_H-M_alt 'I m m 2'
_space_group_IT_number 44
_cell_length_a 5.6709
_cell_length_b 9.5745
_cell_length_c 9.6556
_cell_angle_alpha 90.00
_cell_angle_beta 90.00
_cell_angle_gamma 90.00
loop_
_space_group_symop_operation_xyz
'x,y,z'
'-x,-y,z'
'-x,y,z'
'x,-y,z'
'x+1/2,y+1/2,z+1/2'
'-x+1/2,-y+1/2,z+1/2'
'-x+1/2,y+1/2,z+1/2'
'x+1/2,-y+1/2,z+1/2'
loop_
_atom_site_label
_atom_site_fract_x
_atom_site_fract_y
_atom_site_fract_z
La1 0.0000 0.0000 0.0000
Zn1 0.0000 0.5000 0.2825
Zn2 0.2491 0.2584 0.2551
Cd1 0.0000 0.0000 0.3490
Cd2 0.0000 0.0000 0.6542
Cd3 0.0000 0.2884 0.5029
Cd4 0.0000 0.3482 0.0063
Cd5 0.0000 0.5000 0.7252
```

---

No. 6
Starting from a structure optimized by DFT (PBE), the powder diffraction line list of LaZnCd was computed for Cu Ka.
No peak broadening, texture or thermal motion is included.

The 10 most intense peaks (2θ = 10–90°), by angle:
two_theta, I/Imax
20.84, 9
32.70, 100
36.50, 71
49.81, 30
51.13, 9
63.31, 29
64.45, 26
65.71, 12
86.75, 12
87.77, 11

Structure:
```
data_LaZnCd
_chemical_formula_sum 'La1 Zn1 Cd1'
_space_group_name_H-M_alt 'P -6 m 2'
_space_group_IT_number 187
_space_group_name_Hall 'P -6 2'
_cell_length_a 4.9228
_cell_length_b 4.9228
_cell_length_c 3.5728
_cell_angle_alpha 90.00
_cell_angle_beta 90.00
_cell_angle_gamma 120.00
loop_
_atom_site_label
_atom_site_fract_x
_atom_site_fract_y
_atom_site_fract_z
La1 0.0000 0.0000 0.0000
Zn1 0.6667 0.3333 0.5000
Cd1 0.3333 0.6667 0.5000
```

---

No. 7
Starting from a structure optimized by DFT (PBE), the powder diffraction line list of LaZnCd was computed for Cu Ka.
No peak broadening, texture or thermal motion is included.

The 10 most intense peaks (2θ = 10–90°), by angle:
two_theta, I/Imax
32.80, 100
36.30, 25
36.51, 47
49.76, 19
49.97, 9
51.46, 9
63.09, 10
63.32, 9
64.60, 9
64.73, 17

Structure:
```
data_LaZnCd
_chemical_formula_sum 'La2 Zn2 Cd2'
_space_group_name_H-M_alt 'P m m a'
_space_group_IT_number 51
_cell_length_a 4.9491
_cell_length_b 3.5517
_cell_length_c 8.5103
_cell_angle_alpha 90.00
_cell_angle_beta 90.00
_cell_angle_gamma 90.00
loop_
_space_group_symop_operation_xyz
'x,y,z'
'-x,-y,-z'
'-x+1/2,-y,z'
'x+1/2,y,-z'
'x+1/2,-y,-z'
'-x+1/2,y,z'
'-x,y,-z'
'x,-y,z'
loop_
_atom_site_label
_atom_site_fract_x
_atom_site_fract_y
_atom_site_fract_z
La1 0.2500 0.0000 0.2302
Zn1 0.2500 0.5000 0.9183
Cd1 0.2500 0.5000 0.5873
```

---

No. 8
Starting from a structure optimized by DFT (PBE), the powder diffraction line list of La8Zn2Cd was computed for Cu Ka.
No peak broadening, texture or thermal motion is included.

The 10 most intense peaks (2θ = 10–90°), by angle:
two_theta, I/Imax
23.23, 11
31.02, 49
32.10, 100
34.98, 28
35.41, 20
47.48, 13
50.63, 15
60.77, 12
60.94, 16
64.58, 10

Structure:
```
data_La8Zn2Cd
_chemical_formula_sum 'La16 Zn4 Cd2'
_space_group_name_H-M_alt 'I m m m'
_space_group_IT_number 71
_space_group_name_Hall '-I 2 2'
_cell_length_a 5.1298
_cell_length_b 8.7959
_cell_length_c 15.2091
_cell_angle_alpha 90.00
_cell_angle_beta 90.00
_cell_angle_gamma 90.00
loop_
_atom_site_label
_atom_site_fract_x
_atom_site_fract_y
_atom_site_fract_z
La1 0.0000 0.0000 0.1461
La2 0.0000 0.2190 0.3419
La3 0.0000 0.3308 0.0000
Zn1 0.0000 0.5000 0.1973
Cd1 0.0000 0.5000 0.5000
```

---

No. 9
Starting from a structure optimized by DFT (PBE), the powder diffraction line list of La2Zn15Cd2 was computed for Cu Ka.
No peak broadening, texture or thermal motion is included.

The 10 most intense peaks (2θ = 10–90°), by angle:
two_theta, I/Imax
33.57, 56
34.69, 41
38.95, 81
39.20, 100
39.94, 64
40.19, 26
44.00, 48
57.01, 25
70.55, 25
72.03, 31

Structure:
```
data_La2Zn15Cd2
_chemical_formula_sum 'La6 Zn45 Cd6'
_space_group_name_H-M_alt 'R -3 m'
_space_group_IT_number 166
_space_group_name_Hall '-R 3 2"'
_cell_length_a 9.2489
_cell_length_b 9.2489
_cell_length_c 13.5464
_cell_angle_alpha 90.00
_cell_angle_beta 90.00
_cell_angle_gamma 120.00
loop_
_atom_site_label
_atom_site_fract_x
_atom_site_fract_y
_atom_site_fract_z
La1 0.0000 0.0000 0.1589
Zn1 0.0000 0.2962 0.5000
Zn2 0.0000 0.5000 0.0000
Zn3 0.0113 0.5057 0.6537
Cd1 0.0000 0.0000 0.3961
```

---

No. 10
Starting from a structure optimized by DFT (PBE), the powder diffraction line list of La2Zn6Cd was computed for Cu Ka.
No peak broadening, texture or thermal motion is included.

The 10 most intense peaks (2θ = 10–90°), by angle:
two_theta, I/Imax
29.75, 25
33.37, 59
34.54, 84
37.70, 100
46.21, 19
55.14, 16
55.94, 22
61.77, 27
66.76, 22
72.74, 15

Structure:
```
data_La2Zn6Cd
_chemical_formula_sum 'La2 Zn6 Cd1'
_space_group_name_H-M_alt 'P -3 m 1'
_space_group_IT_number 164
_space_group_name_Hall '-P 3 2"'
_cell_length_a 6.0072
_cell_length_b 6.0072
_cell_length_c 5.9908
_cell_angle_alpha 90.00
_cell_angle_beta 90.00
_cell_angle_gamma 120.00
loop_
_atom_site_label
_atom_site_fract_x
_atom_site_fract_y
_atom_site_fract_z
La1 0.3333 0.6667 0.3396
Zn1 0.1805 0.3609 0.8478
Cd1 0.0000 0.0000 0.5000
```

---

No. 11
Starting from a structure optimized by DFT (PBE), the powder diffraction line list of La4Zn3Cd2 was computed for Cu Ka.
No peak broadening, texture or thermal motion is included.

The 10 most intense peaks (2θ = 10–90°), by angle:
two_theta, I/Imax
30.69, 25
31.04, 55
32.06, 53
33.68, 100
34.98, 54
36.07, 16
39.54, 17
47.21, 15
61.91, 17
64.94, 14

Structure:
```
data_La4Zn3Cd2
_chemical_formula_sum 'La8 Zn6 Cd4'
_space_group_name_H-M_alt 'C 1 2/m 1'
_space_group_IT_number 12
_cell_length_a 10.4736
_cell_length_b 5.1306
_cell_length_c 9.3360
_cell_angle_alpha 90.00
_cell_angle_beta 107.58
_cell_angle_gamma 90.00
loop_
_space_group_symop_operation_xyz
'x,y,z'
'-x,-y,-z'
'-x,y,-z'
'x,-y,z'
'x+1/2,y+1/2,z'
'-x+1/2,-y+1/2,-z'
'-x+1/2,y+1/2,-z'
'x+1/2,-y+1/2,z'
loop_
_atom_site_label
_atom_site_fract_x
_atom_site_fract_y
_atom_site_fract_z
La1 0.0653 0.0000 0.3534
La2 0.1493 0.5000 0.9027
Zn1 0.0000 0.0000 0.0000
Zn2 0.1275 0.5000 0.5552
Cd1 0.2284 0.5000 0.2817
```

---

No. 12
Starting from a structure optimized by DFT (PBE), the powder diffraction line list of La2Zn3Cd6 was computed for Cu Ka.
No peak broadening, texture or thermal motion is included.

The 10 most intense peaks (2θ = 10–90°), by angle:
two_theta, I/Imax
29.43, 100
32.07, 12
33.34, 26
37.97, 33
39.03, 77
40.02, 31
53.04, 13
56.35, 24
63.41, 26
72.03, 12

Structure:
```
data_La2Zn3Cd6
_chemical_formula_sum 'La2 Zn3 Cd6'
_space_group_name_H-M_alt 'P -6 2 m'
_space_group_IT_number 189
_space_group_name_Hall 'P -6 -2'
_cell_length_a 8.2096
_cell_length_b 8.2096
_cell_length_c 4.5060
_cell_angle_alpha 90.00
_cell_angle_beta 90.00
_cell_angle_gamma 120.00
loop_
_atom_site_label
_atom_site_fract_x
_atom_site_fract_y
_atom_site_fract_z
La1 0.3333 0.6667 0.0000
Zn1 0.0000 0.3850 0.5000
Cd1 0.0000 0.2046 0.0000
Cd2 0.0000 0.7070 0.5000
```

---

No. 13
Starting from a structure optimized by DFT (PBE), the powder diffraction line list of La2ZrCd was computed for Cu Ka.
No peak broadening, texture or thermal motion is included.

The 10 most intense peaks (2θ = 10–90°), by angle:
two_theta, I/Imax
31.89, 100
36.88, 34
37.20, 16
53.14, 12
53.38, 23
63.33, 27
63.75, 13
66.65, 12
87.21, 6
87.59, 11

Structure:
```
data_La2ZrCd
_chemical_formula_sum 'La4 Zr2 Cd2'
_space_group_name_H-M_alt 'I 4/m m m'
_space_group_IT_number 139
_space_group_name_Hall '-I 4 2'
_cell_length_a 4.8747
_cell_length_b 4.8747
_cell_length_c 9.6690
_cell_angle_alpha 90.00
_cell_angle_beta 90.00
_cell_angle_gamma 90.00
loop_
_atom_site_label
_atom_site_fract_x
_atom_site_fract_y
_atom_site_fract_z
La1 0.0000 0.5000 0.2500
Zr1 0.0000 0.0000 0.0000
Cd1 0.0000 0.0000 0.5000
```

---

No. 14
Starting from a structure optimized by DFT (PBE), the powder diffraction line list of LiCd3 was computed for Cu Ka.
No peak broadening, texture or thermal motion is included.

The 10 most intense peaks (2θ = 10–90°), by angle:
two_theta, I/Imax
17.78, 53
20.52, 19
33.41, 22
35.00, 100
36.02, 92
40.99, 64
41.73, 30
59.93, 40
70.18, 24
72.05, 22

Structure:
```
data_LiCd3
_chemical_formula_sum 'Li2 Cd6'
_space_group_name_H-M_alt 'C m m m'
_space_group_IT_number 65
_space_group_name_Hall '-C 2 2'
_cell_length_a 6.1014
_cell_length_b 8.6577
_cell_length_c 3.1812
_cell_angle_alpha 90.00
_cell_angle_beta 90.00
_cell_angle_gamma 90.00
loop_
_atom_site_label
_atom_site_fract_x
_atom_site_fract_y
_atom_site_fract_z
Li1 0.0000 0.0000 0.0000
Cd1 0.0000 0.5000 0.0000
Cd2 0.2500 0.2500 0.5000
```